Entry 1:
Diffraction record for Cs2NaFeC6N6. The PXRD pattern is simulated, not measured: it uses a PBE-relaxed structure and Cu Ka.

Most intense lines, 10 to 80 degrees two-theta, in order of rising 2θ:
| d [Å] | I/Imax | (hkl) |
| --- | --- | --- |
| 3.814 | 24 | 0 2 0 |
| 3.793 | 100 | 1 1 -3 |
| 3.749 | 26 | 2 0 -2 |
| 2.674 | 32 | 2 2 -2 |
| 2.198 | 23 | 0 2 4 |
| 2.173 | 23 | 3 1 -1 |

Crystal structure
a = 7.498 Å, b = 7.628 Å, c = 13.111 Å
α = 90.00°, β = 124.84°, γ = 90.00°
Space group P2_1/c (No. 14)
One atom of each set of equivalent atoms:
Cs1 0.241 0.041 0.250 [4 per cell]
Na1 0.500 0.000 0.000 [2 per cell]
Fe1 0.000 0.000 0.500 [2 per cell]
C1 0.119 0.203 0.477 [4 per cell]
C2 0.185 0.642 0.980 [4 per cell]
C3 0.215 0.007 0.674 [4 per cell]
N1 0.191 0.171 0.961 [4 per cell]
N2 0.301 0.729 0.967 [4 per cell]
N3 0.351 0.014 0.781 [4 per cell]

***

Entry 2:
Diffraction record for Cs2FeSnC6N6. The PXRD pattern is simulated, not measured: it uses a PBE-relaxed structure and Cu Ka.

Most intense lines, 10 to 80 degrees two-theta, in order of rising 2θ:
| d [Å] | I/Imax | (hkl) |
| --- | --- | --- |
| 3.921 | 100 | 2 2 0 |
| 2.772 | 37 | 4 0 0 |
| 2.264 | 39 | 4 2 2 |
| 1.960 | 22 | 4 4 0 |
| 1.753 | 25 | 6 2 0 |
| 1.482 | 25 | 6 4 2 |

Crystal structure
a = 11.090 Å, b = 11.090 Å, c = 11.090 Å
α = 90.00°, β = 90.00°, γ = 90.00°
Space group Fm-3m (No. 225)
One atom of each set of equivalent atoms:
Cs1 0.250 0.250 0.250 [8 per cell]
Fe1 0.000 0.000 0.000 [4 per cell]
Sn1 0.000 0.000 0.500 [4 per cell]
C1 0.000 0.000 0.167 [24 per cell]
N1 0.000 0.000 0.274 [24 per cell]

***

Entry 3:
Diffraction record for Cs2TmFeC6N6. The PXRD pattern is simulated, not measured: it uses a PBE-relaxed structure and Cu Ka.

Most intense lines, 10 to 80 degrees two-theta, in order of rising 2θ:
| d [Å] | I/Imax | (hkl) |
| --- | --- | --- |
| 3.775 | 100 | 2 2 0 |
| 2.669 | 34 | 4 0 0 |
| 2.180 | 39 | 4 2 2 |
| 1.888 | 20 | 4 4 0 |
| 1.688 | 24 | 6 2 0 |
| 1.427 | 25 | 6 4 2 |

Crystal structure
a = 10.677 Å, b = 10.677 Å, c = 10.677 Å
α = 90.00°, β = 90.00°, γ = 90.00°
Space group Fm-3m (No. 225)
One atom of each set of equivalent atoms:
Cs1 0.250 0.250 0.250 [8 per cell]
Tm1 0.000 0.000 0.000 [4 per cell]
Fe1 0.000 0.000 0.500 [4 per cell]
C1 0.000 0.000 0.326 [24 per cell]
N1 0.000 0.000 0.215 [24 per cell]

***

Entry 4:
Diffraction record for CsGdC2O6. The PXRD pattern is simulated, not measured: it uses a PBE-relaxed structure and Cu Ka.

Most intense lines, 10 to 80 degrees two-theta, in order of rising 2θ:
| d [Å] | I/Imax | (hkl) |
| --- | --- | --- |
| 4.237 | 86 | 0 0 2 |
| 3.810 | 69 | 0 2 -1 |
| 3.700 | 79 | 2 0 0 |
| 3.321 | 83 | 2 -2 1 |
| 3.225 | 100 | 0 2 1 |
| 3.107 | 74 | 2 0 -2 |

Crystal structure
a = 8.343 Å, b = 8.654 Å, c = 8.743 Å
α = 98.66°, β = 96.45°, γ = 115.22°
Space group P-1 (No. 2)
One atom of each set of equivalent atoms:
Cs1 0.239 0.186 0.026 [2 per cell]
Cs2 0.241 0.030 0.540 [2 per cell]
Gd1 0.241 0.714 0.042 [2 per cell]
Gd2 0.262 0.522 0.548 [2 per cell]
C1 0.003 0.727 0.713 [2 per cell]
C2 0.027 0.291 0.788 [2 per cell]
C3 0.415 0.599 0.265 [2 per cell]
C4 0.456 0.859 0.758 [2 per cell]
O1 0.048 0.628 0.616 [2 per cell]
O2 0.065 0.426 0.902 [2 per cell]
O3 0.096 0.805 0.854 [2 per cell]
O4 0.108 0.854 0.206 [2 per cell]
O5 0.120 0.302 0.679 [2 per cell]
O6 0.139 0.258 0.339 [2 per cell]
O7 0.273 0.618 0.292 [2 per cell]
O8 0.390 0.721 0.821 [2 per cell]
O9 0.446 0.826 0.607 [2 per cell]
O10 0.465 0.624 0.133 [2 per cell]
O11 0.475 0.985 0.158 [2 per cell]
O12 0.497 0.557 0.374 [2 per cell]